(1)
Starting from a GGA-PBE-relaxed structure, the X-ray diffraction stick pattern of CaPm4Ga4 was calculated for Cu Kα.
Kinematic intensities with the Lorentz-polarization factor, no thermal factor.

Peak list (6 most intense, 15° ≤ 2θ ≤ 90°, low angle first)
index	2θ/deg	d (Å)	I_rel
2 1 1	25.92	3.437	17.9
1 3 0	30.55	2.926	100.0
1 2 2	36.35	2.471	19.4
3 0 2	41.41	2.180	20.7
4 2 0	43.71	2.071	19.8
3 2 2	46.01	1.973	21.1

Cell and atoms:
a b c (Å): 9.2622 9.2622 6.1590
angles (deg): 90.00 90.00 90.00
Space group P4_2/n (No. 86, origin choice 2)
Symmetry-distinct sites (fractional):
Ca  0.2500  0.2500  0.2500 (multiplicity 2)
Pm  0.0707  0.6574  0.1210 (multiplicity 8)
Ga  0.0231  0.6134  0.6132 (multiplicity 8)

---

(2)
Starting from a GGA-PBE-relaxed structure, the X-ray diffraction stick pattern of ScTi12Sb6 was calculated for Cu Kα.
Kinematic intensities with the Lorentz-polarization factor, no thermal factor.

Peak list (6 most intense, 15° ≤ 2θ ≤ 90°, low angle first)
index	2θ/deg	d (Å)	I_rel
2 0 2	25.64	3.474	100.0
2 2 0	29.10	3.069	96.0
0 3 3	38.85	2.318	52.6
0 4 2	39.17	2.300	85.0
0 2 4	42.91	2.107	82.9
4 2 2	49.53	1.840	50.6

Cell and atoms:
a b c (Å): 12.2748 12.2748 9.1825
angles (deg): 90.00 90.00 120.00
Space group R-3m (No. 166, hexagonal axes)
Symmetry-distinct sites (fractional):
Sc  0.0000  0.0000  0.0000 (multiplicity 3)
Ti  0.0000  0.3905  0.5000 (multiplicity 18)
Ti  0.0793  0.1585  0.3259 (multiplicity 18)
Sb  0.0221  0.5111  0.2447 (multiplicity 18)

---

(3)
Starting from a GGA-PBE-relaxed structure, the X-ray diffraction stick pattern of Sc8CS4 was calculated for Cu Kα.
Kinematic intensities with the Lorentz-polarization factor, no thermal factor.

Peak list (6 most intense, 15° ≤ 2θ ≤ 90°, low angle first)
index	2θ/deg	d (Å)	I_rel
0 2 1	29.62	3.016	14.0
2 0 2	30.99	2.886	27.8
0 2 4	35.99	2.495	100.0
2 2 0	51.69	1.768	31.5
2 0 8	51.94	1.760	28.6
4 0 4	64.59	1.443	14.5

Cell and atoms:
a b c (Å): 7.0738 7.0738 17.2085
angles (deg): 90.00 90.00 120.00
Space group R-3m (No. 166, hexagonal axes)
Symmetry-distinct sites (fractional):
Sc  0.0000  0.0000  0.2473 (multiplicity 6)
Sc  0.0192  0.5096  0.2411 (multiplicity 18)
C  0.0000  0.0000  0.5000 (multiplicity 3)
S  0.0000  0.0000  0.0000 (multiplicity 3)
S  0.0000  0.5000  0.0000 (multiplicity 9)

---

(4)
Starting from a GGA-PBE-relaxed structure, the X-ray diffraction stick pattern of Tl4Pd was calculated for Cu Kα.
Kinematic intensities with the Lorentz-polarization factor, no thermal factor.

Peak list (6 most intense, 15° ≤ 2θ ≤ 90°, low angle first)
index	2θ/deg	d (Å)	I_rel
0 0 2	29.49	3.029	24.0
2 1 1	33.37	2.685	100.0
2 0 2	40.14	2.247	28.3
3 1 0	42.68	2.118	17.2
2 1 3	54.82	1.675	25.2
4 1 1	58.85	1.569	26.2

Cell and atoms:
a b c (Å): 6.6990 6.6990 6.0585
angles (deg): 90.00 90.00 90.00
Space group P4/nbm (No. 125, origin choice 2)
Symmetry-distinct sites (fractional):
Tl  0.0769  0.5769  0.2438 (multiplicity 8)
Pd  0.2500  0.2500  0.5000 (multiplicity 2)

---

(5)
Starting from a GGA-PBE-relaxed structure, the X-ray diffraction stick pattern of SiGePt was calculated for Cu Kα.
Kinematic intensities with the Lorentz-polarization factor, no thermal factor.

Peak list (6 most intense, 15° ≤ 2θ ≤ 90°, low angle first)
index	2θ/deg	d (Å)	I_rel
1 1 -1	22.48	3.955	100.0
0 2 0	29.16	3.062	35.2
2 0 0	31.44	2.845	63.4
2 2 0	43.41	2.085	49.1
3 1 -1	46.48	1.954	53.9
1 3 -1	47.89	1.899	22.8

Cell and atoms:
a b c (Å): 6.1960 6.1249 6.2029
angles (deg): 90.00 113.37 90.00
Space group P2_1/c (No. 14)
Symmetry-distinct sites (fractional):
Si  0.1569  0.1310  0.3147 (multiplicity 4)
Ge  0.3521  0.6202  0.6370 (multiplicity 4)
Pt  0.2197  0.0077  0.7042 (multiplicity 4)

---

(6)
Starting from a GGA-PBE-relaxed structure, the X-ray diffraction stick pattern of ScAgSeS was calculated for Cu Kα.
Kinematic intensities with the Lorentz-polarization factor, no thermal factor.

Peak list (6 most intense, 15° ≤ 2θ ≤ 90°, low angle first)
index	2θ/deg	d (Å)	I_rel
1 0 0	26.92	3.312	100.0
0 1 1	28.69	3.112	85.9
1 0 1	30.74	2.909	84.8
1 1 2	37.47	2.400	92.4
1 0 -2	37.70	2.386	88.5
1 2 0	47.22	1.925	87.4

Cell and atoms:
a b c (Å): 3.8113 3.8632 6.6045
angles (deg): 84.73 89.58 60.51
Space group P1 (No. 1)
Symmetry-distinct sites (fractional):
Sc  0.0000  0.0000  0.0000 (multiplicity 1)
Ag  0.9271  0.1414  0.4869 (multiplicity 1)
Se  0.6444  0.7158  0.7567 (multiplicity 1)
S  0.3471  0.3011  0.2064 (multiplicity 1)

---

- Number 2 is which compound?
  ScTi12Sb6

---

- What is the formula in the fifth record?
  SiGePt